Starting from DFT lattice parameters and positions (PBE), the powder diffraction line list of AcSc2CrN4 was simulated for CuKα.
No peak broadening, texture or thermal motion is included.

Principal peaks in the range 2θ from 15° to 90°, in order of falling intensity:
- d 2.780, rel. 100, (1 1 2)
- d 2.457, rel. 66, (1 3 1)
- d 5.543, rel. 60, (0 0 2)
- d 5.102, rel. 36, (0 2 1)
- d 3.108, rel. 35, (0 2 3)
- d 2.772, rel. 32, (0 0 4)
- d 1.665, rel. 22, (1 3 5)
- d 3.212, rel. 21, (1 1 0)
- d 2.098, rel. 20, (1 1 4)
- d 2.082, rel. 18, (1 3 3)
- d 1.793, rel. 17, (1 5 2)
- d 2.294, rel. 17, (1 3 2)

Structural model:
```
data_AcSc2CrN4
_chemical_formula_sum 'Ac4 Sc8 Cr4 N16'
_cell_length_a 3.345
_cell_length_b 11.492
_cell_length_c 11.086
_cell_angle_alpha 90.00
_cell_angle_beta 90.00
_cell_angle_gamma 90.00
_space_group_name_H-M_alt 'C m c m'
_space_group_IT_number 63
_space_group_name_Hall '-C 2c 2'
loop_
_atom_site_label
_atom_site_type_symbol
_atom_site_fract_x
_atom_site_fract_y
_atom_site_fract_z
Ac1 Ac 0.000 0.090 0.250
Sc1 Sc 0.000 0.369 0.043
Cr1 Cr 0.000 0.173 0.750
N1 N 0.000 0.000 0.000
N2 N 0.000 0.260 0.615
N3 N 0.000 0.410 0.250
```

---

Starting from DFT lattice parameters and positions (PBE), the powder diffraction line list of Ac3TmCr2N6 was simulated for CuKα.
No peak broadening, texture or thermal motion is included.

Principal peaks in the range 2θ from 15° to 90°, in order of falling intensity:
- d 2.966, rel. 100, (1 1 0)
- d 2.875, rel. 95, (0 1 2)
- d 2.064, rel. 44, (2 0 2)
- d 1.694, rel. 40, (1 2 2)
- d 4.129, rel. 36, (1 0 1)
- d 1.712, rel. 21, (3 0 0)
- d 1.318, rel. 18, (3 1 2)
- d 2.409, rel. 17, (0 2 1)
- d 1.483, rel. 15, (2 2 0)
- d 1.644, rel. 15, (1 0 4)
- d 1.294, rel. 14, (2 1 4)
- d 1.116, rel. 11, (2 3 2)

Structural model:
```
data_Ac3TmCr2N6
_chemical_formula_sum 'Ac3 Tm1 Cr2 N6'
_cell_length_a 5.9317
_cell_length_b 5.9317
_cell_length_c 6.9390
_cell_angle_alpha 90.00
_cell_angle_beta 90.00
_cell_angle_gamma 120.00
_space_group_name_H-M_alt 'P -3 m 1'
_space_group_IT_number 164
_space_group_name_Hall '-P 3 2"'
loop_
_atom_site_label
_atom_site_type_symbol
_atom_site_fract_x
_atom_site_fract_y
_atom_site_fract_z
Ac1 Ac 0.0000 0.0000 0.0000
Ac2 Ac 0.3333 0.6667 0.6812
Tm1 Tm 0.0000 0.0000 0.5000
Cr1 Cr 0.3333 0.6667 0.2153
N1 N 0.1726 0.3453 0.2940
```